Structure and theoretical PXRD pattern of LiBeCd (a GGA-PBE-relaxed structure; Cu Kα X-rays).

Crystal structure
abc: 9.269 3.128 3.128
angles: 90.00 109.62 90.00
Space group Cm (No. 8)
One atom of each set of equivalent atoms:
Li1 0.000 0.000 0.000
Be1 0.142 0.500 0.641
Cd1 0.315 0.000 0.315

Principal peaks in the range 10 to 90 degrees two-theta, low angle first:
| d/Å | two_theta | I/Imax | index |
| --- | --- | --- | --- |
| 4.365 | 20.34 | 64.0 | 2 0 0 |
| 2.945 | 30.36 | 100.0 | 1 1 0 |
| 2.212 | 40.80 | 29.0 | 1 1 -1 |
| 2.131 | 42.43 | 51.4 | 3 1 0 |
| 1.973 | 46.00 | 29.9 | 1 1 1 |
| 1.554 | 59.50 | 14.5 | 3 1 1 |
| 1.381 | 67.86 | 18.4 | 0 2 1 |
| 1.261 | 75.38 | 13.3 | 2 2 1 |